Record 1
Structure and theoretical X-ray diffraction stick pattern of NaNp2F9 (a cell relaxed with GGA-PBE; Cu Kα, 1.54184 Å).
Neutral-atom scattering factors, no anomalous dispersion.

Main lines, by angle (10° ≤ 2θ ≤ 90°):
index  Position (°2θ)  intensity
0 2 0  15.77  100
2 0 0  20.43  23
2 0 1  24.16  52
0 3 1  27.04  40
1 0 2  27.69  40
2 2 1  28.97  62
1 2 2  32.02  32
0 5 1  42.26  25
4 0 1  43.61  36
1 3 3  47.37  34

Crystal structure
Cell: 8.6962 11.2424 6.9366 Å, 90.00 90.00 90.00°
Space group Pnma (No. 62)
Inequivalent atoms, fractional coordinates:
Na: 0.1084 0.2500 0.2062 (multiplicity 4)
Np: 0.1678 0.0492 0.6675 (multiplicity 8)
F: 0.0036 0.6044 0.5782 (multiplicity 8)
F: 0.0732 0.5786 0.2041 (multiplicity 8)
F: 0.1675 0.2500 0.6625 (multiplicity 4)
F: 0.1995 0.1017 0.9849 (multiplicity 8)
F: 0.2142 0.6098 0.8610 (multiplicity 8)

Record 2
Structure and theoretical X-ray diffraction stick pattern of NaNpTl2F6 (a cell relaxed with GGA-PBE; Cu Kα, 1.54184 Å).
Neutral-atom scattering factors, no anomalous dispersion.

Main lines, by angle (10° ≤ 2θ ≤ 90°):
index  Position (°2θ)  intensity
2 0 -1  16.75  15
1 1 0  16.90  15
2 0 -2  27.30  19
3 1 -1  27.71  100
2 2 -2  39.28  24
4 0 0  39.93  11
1 1 -3  48.44  10
2 0 2  48.98  22
4 2 0  49.29  10
0 4 0  57.18  11

Crystal structure
Cell: 11.1277 6.4430 6.5342 Å, 90.00 125.75 90.00°
Space group C2/m (No. 12)
Inequivalent atoms, fractional coordinates:
Na: 0.0000 0.0000 0.0000 (multiplicity 2)
Np: 0.0000 0.5000 0.5000 (multiplicity 2)
Tl: 0.2481 0.5000 0.2387 (multiplicity 4)
F: 0.0437 0.2538 0.7873 (multiplicity 8)
F: 0.2458 0.5000 0.6715 (multiplicity 4)